Entry 1:
This entry pairs a crystal structure of LaCrReO6 with its computed powder X-ray diffraction pattern. Radiation: Cu Kα. Structure: a structure optimized by DFT (PBE+U).
Lines closer than 0.1° are merged.

Top 10 peaks for 2θ from 10° to 80°, low angle first:
- 19.83°, rel. 71, (1 0 0)
- 22.93°, rel. 19, (0 0 1)
- 32.66°, rel. 100, (2 0 -1)
- 38.46°, rel. 26, (0 1 -2)
- 38.57°, rel. 13, (2 1 -1)
- 46.79°, rel. 22, (0 0 2)
- 46.98°, rel. 11, (2 2 -2)
- 58.24°, rel. 27, (1 -3 2)
- 58.36°, rel. 14, (1 3 -1)
- 68.48°, rel. 13, (2 2 -4)

Crystal structure
Cell lengths 5.4783, 5.4803, 5.4811 Å; angles 119.89, 119.85, 90.18 degrees
Space group P1 (No. 1)
Unique sites:
La: 0.0000 0.0000 0.0000
Cr: 0.7472 0.2500 0.4955
Re: 0.2462 0.7496 0.4956
O: 0.0150 0.5330 0.0028
O: 0.0265 0.0222 0.4973
O: 0.4579 0.4681 0.4757
O: 0.4751 0.9733 0.9880
O: 0.5446 0.9932 0.5440
O: 0.9614 0.5091 0.4617

---

Entry 2:
This entry pairs a crystal structure of Li3V8O16 with its computed powder X-ray diffraction pattern. Radiation: Cu Kα. Structure: a structure optimized by DFT (PBE+U).
Lines closer than 0.1° are merged.

Top 10 peaks for 2θ from 10° to 80°, low angle first:
- 17.96°, rel. 41, (1 1 0)
- 18.20°, rel. 100, (1 1 2)
- 35.03°, rel. 13, (1 3 3)
- 35.17°, rel. 18, (3 -1 2)
- 36.88°, rel. 7, (2 2 4)
- 42.44°, rel. 26, (0 4 2)
- 42.59°, rel. 26, (4 0 2)
- 43.09°, rel. 25, (0 0 4)
- 62.06°, rel. 7, (4 -4 0)
- 62.45°, rel. 14, (4 0 6)

Crystal structure
Cell lengths 8.4924, 8.5212, 10.2846 Å; angles 65.82, 65.71, 89.37 degrees
Space group P1 (No. 1)
Unique sites:
Li: 0.0000 0.0000 0.0000
Li: 0.0389 0.5490 0.6363
Li: 0.1345 0.1312 0.2490
Li: 0.3788 0.8794 0.7521
Li: 0.5628 0.5624 0.1156
Li: 0.7553 0.2554 0.4934
V: 0.0675 0.0664 0.6239
V: 0.0719 0.5684 0.1214
V: 0.1787 0.4352 0.3784
V: 0.1945 0.4372 0.8733
V: 0.3096 0.8186 0.1359
V: 0.3290 0.3188 0.6139
V: 0.4451 0.1838 0.3728
V: 0.4467 0.1916 0.8689
V: 0.5638 0.0609 0.1287
V: 0.5749 0.5605 0.6297
V: 0.6943 0.9486 0.8737
V: 0.6957 0.9431 0.3752
V: 0.8090 0.8218 0.6266
V: 0.8204 0.3166 0.1097
V: 0.9374 0.6957 0.3724
V: 0.9453 0.6957 0.8774
O: 0.0255 0.8080 0.6497
O: 0.0722 0.3383 0.0991
O: 0.0731 0.7980 0.1365
O: 0.0995 0.3239 0.6021
O: 0.1545 0.6692 0.3834
O: 0.1772 0.6722 0.8809
O: 0.2006 0.1994 0.3852
O: 0.2155 0.2083 0.8531
O: 0.3032 0.5703 0.1570
O: 0.3110 0.0857 0.6127
O: 0.3238 0.5331 0.6466
O: 0.3423 0.0649 0.1133
O: 0.4237 0.4089 0.3898
O: 0.4335 0.4124 0.8670
O: 0.4488 0.9592 0.8849
O: 0.4610 0.9702 0.3616
O: 0.5488 0.3145 0.6350
O: 0.5573 0.8400 0.1106
O: 0.5694 0.2938 0.1405
O: 0.5925 0.8148 0.6202
O: 0.6697 0.1626 0.8896
O: 0.6866 0.1894 0.3553
O: 0.7036 0.7267 0.8716
O: 0.7080 0.6960 0.3935
O: 0.7891 0.0681 0.1311
O: 0.8145 0.5952 0.6147
O: 0.8235 0.0509 0.6359
O: 0.8355 0.5655 0.0950
O: 0.9277 0.9225 0.3890
O: 0.9358 0.9366 0.8628
O: 0.9587 0.4573 0.3605
O: 0.9649 0.4603 0.8726

---

Entry 3:
This entry pairs a crystal structure of MgTiFe4O8 with its computed powder X-ray diffraction pattern. Radiation: Cu Kα. Structure: a structure optimized by DFT (PBE+U).
Lines closer than 0.1° are merged.

Top 10 peaks for 2θ from 10° to 80°, low angle first:
- 18.65°, rel. 49, (1 1 1)
- 30.66°, rel. 100, (1 2 1)
- 33.17°, rel. 30, (1 1 -1)
- 33.92°, rel. 33, (0 0 2)
- 34.27°, rel. 51, (1 -1 1)
- 34.83°, rel. 56, (-1 1 1)
- 35.27°, rel. 25, (2 1 2)
- 35.49°, rel. 26, (1 2 2)
- 41.89°, rel. 30, (2 0 2)
- 42.45°, rel. 28, (0 2 2)

Crystal structure
Cell lengths 5.8247, 5.8419, 6.2083 Å; angles 63.71, 62.69, 61.43 degrees
Space group P-1 (No. 2)
Unique sites:
Mg: 0.0000 0.0000 0.0000
Ti: 0.5000 0.0000 0.0000
Fe: 0.0000 0.5000 0.0000
Fe: 0.1416 0.1478 0.5305
Fe: 0.5000 0.5000 0.5000
O: 0.2364 0.7764 0.7054
O: 0.2399 0.7948 0.2382
O: 0.2462 0.2278 0.7697
O: 0.2816 0.2723 0.1812

---

Entry 4:
This entry pairs a crystal structure of Li2VC2O6 with its computed powder X-ray diffraction pattern. Radiation: Cu Kα. Structure: a structure optimized by DFT (PBE+U).
Lines closer than 0.1° are merged.

Top 10 peaks for 2θ from 10° to 80°, low angle first:
- 18.39°, rel. 14, (0 1 -1)
- 19.05°, rel. 100, (1 1 1)
- 24.38°, rel. 8, (1 0 2)
- 28.66°, rel. 27, (1 2 1)
- 30.18°, rel. 17, (0 2 0)
- 32.08°, rel. 20, (0 2 1)
- 32.63°, rel. 8, (1 0 -2)
- 43.10°, rel. 8, (2 2 -1)
- 43.22°, rel. 8, (2 0 3)
- 47.31°, rel. 13, (2 1 -2)

Crystal structure
Cell lengths 5.3221, 6.4908, 8.7181 Å; angles 82.94, 72.42, 65.86 degrees
Space group P1 (No. 1)
Unique sites:
Li: 0.0000 0.0000 0.0000
Li: 0.0802 0.4972 0.8372
Li: 0.2836 0.0958 0.3340
Li: 0.6977 0.6027 0.4974
V: 0.3497 0.5493 0.1678
V: 0.5990 0.0493 0.6677
C: 0.3210 0.4472 0.4699
C: 0.4774 0.1503 0.9694
C: 0.5238 0.6511 0.8658
C: 0.8814 0.9477 0.3662
O: 0.0398 0.8982 0.2199
O: 0.1197 0.4474 0.4127
O: 0.2653 0.6521 0.9214
O: 0.2714 0.1526 0.9158
O: 0.3276 0.3933 0.6165
O: 0.4385 0.2009 0.1159
O: 0.5216 0.5001 0.3692
O: 0.6253 0.7036 0.7192
O: 0.6248 0.9448 0.4183
O: 0.6751 0.5981 0.9677
O: 0.7281 0.0976 0.8661
O: 0.9753 0.0002 0.4706

---

Entry 5:
This entry pairs a crystal structure of V3O8 with its computed powder X-ray diffraction pattern. Radiation: Cu Kα. Structure: a structure optimized by DFT (PBE+U).
Lines closer than 0.1° are merged.

Top 10 peaks for 2θ from 10° to 80°, low angle first:
- 17.72°, rel. 100, (0 0 1)
- 17.92°, rel. 15, (4 0 0)
- 18.59°, rel. 44, (2 0 -1)
- 21.09°, rel. 20, (2 0 1)
- 23.25°, rel. 21, (4 0 -1)
- 24.95°, rel. 96, (1 1 0)
- 27.02°, rel. 17, (6 0 0)
- 31.18°, rel. 58, (1 1 1)
- 33.50°, rel. 23, (5 1 0)
- 50.30°, rel. 19, (0 2 0)

Crystal structure
Cell lengths 20.0376, 3.6281, 5.0652 Å; angles 90.00, 98.87, 90.00 degrees
Space group C2/m (No. 12)
Unique sites:
V: 0.0000 0.0000 0.0000
V: 0.1912 0.0000 0.8761
O: 0.0477 0.0000 0.6974
O: 0.1004 0.0000 0.9303
O: 0.1822 0.0000 0.5560
O: 0.2091 0.5000 0.9934

---

Entry 6:
This entry pairs a crystal structure of CaMg6FeO8 with its computed powder X-ray diffraction pattern. Radiation: Cu Kα. Structure: a structure optimized by DFT (PBE+U).
Lines closer than 0.1° are merged.

Top 10 peaks for 2θ from 10° to 80°, low angle first:
- 10.15°, rel. 12, (0 0 1)
- 20.37°, rel. 5, (0 0 2)
- 28.94°, rel. 4, (1 1 0)
- 30.75°, rel. 9, (0 0 3)
- 35.65°, rel. 21, (1 1 2)
- 41.40°, rel. 100, (2 0 0)
- 42.73°, rel. 3, (1 1 3)
- 59.98°, rel. 57, (2 2 0)
- 71.76°, rel. 11, (1 1 6)
- 75.49°, rel. 17, (2 2 4)

Crystal structure
Cell lengths 4.3641, 4.3641, 8.7175 Å; angles 90.00, 90.00, 90.00 degrees
Space group P4/mmm (No. 123)
Unique sites:
Ca: 0.0000 0.0000 0.0000
Mg: 0.0000 0.0000 0.5000
Mg: 0.0000 0.5000 0.2571
Mg: 0.5000 0.5000 0.5000
Fe: 0.5000 0.5000 0.0000
O: 0.0000 0.0000 0.2644
O: 0.0000 0.5000 0.0000
O: 0.0000 0.5000 0.5000
O: 0.5000 0.5000 0.2553

---

Entry 7:
This entry pairs a crystal structure of Ca3TiFe2O8 with its computed powder X-ray diffraction pattern. Radiation: Cu Kα. Structure: a structure optimized by DFT (PBE+U).
Lines closer than 0.1° are merged.

Top 10 peaks for 2θ from 10° to 80°, low angle first:
- 22.71°, rel. 12, (1 1 0)
- 32.13°, rel. 28, (2 0 0)
- 32.52°, rel. 35, (0 2 0)
- 32.94°, rel. 100, (1 1 3)
- 46.37°, rel. 39, (2 2 0)
- 48.16°, rel. 19, (0 0 6)
- 57.80°, rel. 20, (3 1 3)
- 58.29°, rel. 18, (1 3 3)
- 59.32°, rel. 11, (0 2 6)
- 69.08°, rel. 14, (2 2 6)

Crystal structure
Cell lengths 5.5713, 5.5062, 11.3366 Å; angles 90.00, 90.04, 90.00 degrees
Space group P2_1 (No. 4)
Unique sites:
Ca: 0.2263 0.9998 0.1870
Ca: 0.2271 0.0000 0.8135
Ca: 0.2301 0.0512 0.5002
Ti: 0.2654 0.5281 0.6629
Fe: 0.2561 0.5283 0.3286
Fe: 0.3126 0.4758 0.9991
O: 0.0178 0.8070 0.3536
O: 0.0241 0.8004 0.6463
O: 0.1738 0.5606 0.8546
O: 0.1736 0.5632 0.1444
O: 0.3385 0.5197 0.5022
O: 0.3691 0.1240 0.0003
O: 0.4712 0.2615 0.7022
O: 0.4816 0.2556 0.2971

---

Entry 8:
This entry pairs a crystal structure of Li4Ni3SbO8 with its computed powder X-ray diffraction pattern. Radiation: Cu Kα. Structure: a structure optimized by DFT (PBE+U).
Lines closer than 0.1° are merged.

Top 10 peaks for 2θ from 10° to 80°, low angle first:
- 18.15°, rel. 100, (0 0 3)
- 35.18°, rel. 48, (0 2 1)
- 36.79°, rel. 26, (0 0 6)
- 42.74°, rel. 63, (0 2 4)
- 46.79°, rel. 18, (2 0 5)
- 56.50°, rel. 18, (0 2 7)
- 62.05°, rel. 36, (2 2 0)
- 65.24°, rel. 17, (2 2 3)
- 74.36°, rel. 13, (0 2 10)
- 78.28°, rel. 11, (4 0 4)

Crystal structure
Cell lengths 5.9821, 5.9821, 14.6624 Å; angles 90.00, 90.00, 120.00 degrees
Space group R-3m (No. 166, hexagonal axes)
Unique sites:
Li: 0.0000 0.0000 0.0000
Li: 0.0000 0.5000 0.0000
Ni: 0.0000 0.5000 0.5000
Sb: 0.0000 0.0000 0.5000
O: 0.0000 0.0000 0.2373
O: 0.0140 0.5070 0.2452